Record 1
Simulated powder X-ray diffraction pattern
Compound: Li7Mn4CoO12
Radiation: copper Kα
Structure: a crystal structure in the Materials Project, relaxed with GGA+U

The 6 most intense peaks (15 to 90 degrees two-theta), by angle:
| two_theta | I (rel.) |
| --- | --- |
| 18.4 | 100 |
| 33.7 | 19 |
| 36.1 | 11 |
| 40.5 | 36 |
| 44.1 | 27 |
| 44.6 | 25 |

Atomic structure:
Cell: 3.0425 5.0698 14.5375 Å, 87.27 86.69 86.45°
Fractional positions:
Li1 0.0000 0.0000 0.0000
Li2 0.0000 0.0000 0.5000
Li3 0.0212 0.6684 0.3455
Li4 0.4950 0.8452 0.6526
Li5 0.5000 0.5000 0.0000
Li6 0.5050 0.1548 0.3474
Li7 0.9788 0.3316 0.6545
Mn1 0.0020 0.3312 0.1702
Mn2 0.4979 0.1690 0.8297
Mn3 0.5021 0.8310 0.1703
Mn4 0.9980 0.6688 0.8298
Co1 0.5000 0.5000 0.5000
O1 0.0186 0.3501 0.4283
O2 0.0289 0.0045 0.2481
O3 0.0331 0.3436 0.9095
O4 0.4724 0.1563 0.0914
O5 0.4768 0.4985 0.7550
O6 0.4956 0.7931 0.4261
O7 0.5044 0.2069 0.5739
O8 0.5232 0.5015 0.2450
O9 0.5276 0.8437 0.9086
O10 0.9669 0.6564 0.0905
O11 0.9711 0.9955 0.7519
O12 0.9814 0.6499 0.5717



Record 2
Simulated powder X-ray diffraction pattern
Compound: Li4MnCo2O7
Radiation: copper Kα
Structure: a crystal structure in the Materials Project, relaxed with GGA+U

The 6 most intense peaks (15 to 90 degrees two-theta), by angle:
| two_theta | I (rel.) |
| --- | --- |
| 18.3 | 100 |
| 36.1 | 26 |
| 42.9 | 31 |
| 43.6 | 28 |
| 44.1 | 27 |
| 63.3 | 15 |

Atomic structure:
Cell: 2.9365 6.5160 13.6113 Å, 83.82 84.77 77.10°
Fractional positions:
Li1 0.0000 0.0000 0.0000
Li2 0.0000 0.5000 0.5000
Li3 0.1339 0.4298 0.2918
Li4 0.2889 0.8398 0.5726
Li5 0.4198 0.2879 0.8582
Li6 0.5802 0.7121 0.1418
Li7 0.7111 0.1602 0.4274
Li8 0.8661 0.5702 0.7082
Mn1 0.4287 0.7744 0.3610
Mn2 0.5713 0.2256 0.6390
Co1 0.1440 0.9211 0.7845
Co2 0.2858 0.3621 0.0719
Co3 0.7142 0.6379 0.9281
Co4 0.8560 0.0789 0.2155
O1 0.0208 0.2378 0.7386
O2 0.1349 0.1796 0.5490
O3 0.1527 0.6658 0.0343
O4 0.2694 0.6143 0.8270
O5 0.2821 0.0912 0.3163
O6 0.4359 0.0509 0.1115
O7 0.4382 0.5134 0.6114
O8 0.5618 0.4866 0.3886
O9 0.5641 0.9491 0.8885
O10 0.7179 0.9088 0.6837
O11 0.7306 0.3857 0.1730
O12 0.8473 0.3342 0.9657
O13 0.8651 0.8204 0.4510
O14 0.9792 0.7622 0.2614



Record 3
Simulated powder X-ray diffraction pattern
Compound: Li5Mn2CoO8
Radiation: copper Kα
Structure: a crystal structure in the Materials Project, relaxed with GGA+U

The 6 most intense peaks (15 to 90 degrees two-theta), by angle:
| two_theta | I (rel.) |
| --- | --- |
| 18.5 | 100 |
| 36.1 | 12 |
| 36.2 | 12 |
| 43.6 | 28 |
| 44.0 | 53 |
| 63.7 | 14 |

Atomic structure:
Cell: 2.8916 5.0751 19.1836 Å, 94.21 90.58 90.12°
Fractional positions:
Li1 0.0000 0.0000 0.0000
Li2 0.0000 0.5000 0.5000
Li3 0.0026 0.2467 0.7501
Li4 0.4903 0.8871 0.1290
Li5 0.4918 0.2530 0.2485
Li6 0.4964 0.6219 0.3688
Li7 0.5036 0.3781 0.6312
Li8 0.5082 0.7470 0.7515
Li9 0.5097 0.1129 0.8710
Li10 0.9974 0.7533 0.2499
Mn1 0.0062 0.8527 0.6289
Mn2 0.0191 0.6257 0.8724
Mn3 0.9809 0.3743 0.1276
Mn4 0.9938 0.1473 0.3711
Co1 0.5000 0.0000 0.5000
Co2 0.5000 0.5000 0.0000
O1 0.0043 0.1446 0.5583
O2 0.0079 0.5754 0.6834
O3 0.0091 0.9114 0.8202
O4 0.0513 0.3354 0.9404
O5 0.4794 0.2236 0.0652
O6 0.4850 0.5488 0.1794
O7 0.4897 0.9646 0.3206
O8 0.4965 0.3051 0.4312
O9 0.5035 0.6949 0.5688
O10 0.5103 0.0354 0.6794
O11 0.5150 0.4512 0.8206
O12 0.5206 0.7764 0.9348
O13 0.9487 0.6646 0.0596
O14 0.9909 0.0886 0.1798
O15 0.9921 0.4246 0.3166
O16 0.9957 0.8554 0.4417



Record 4
Simulated powder X-ray diffraction pattern
Compound: Li7Mn4CoO12
Radiation: copper Kα
Structure: a crystal structure in the Materials Project, relaxed with GGA+U

The 6 most intense peaks (15 to 90 degrees two-theta), by angle:
| two_theta | I (rel.) |
| --- | --- |
| 18.4 | 100 |
| 34.4 | 16 |
| 36.3 | 23 |
| 41.6 | 31 |
| 44.2 | 55 |
| 62.5 | 15 |

Atomic structure:
Cell: 11.0709 11.0709 15.2920 Å, 114.43 114.43 14.89°
Fractional positions:
Li1 0.0487 0.0487 0.2071
Li2 0.1344 0.1344 0.6264
Li3 0.2120 0.2120 0.0487
Li4 0.2499 0.2499 0.2501
Li5 0.2880 0.2880 0.4516
Li6 0.3661 0.3661 0.8735
Li7 0.4513 0.4513 0.2924
Li8 0.5487 0.5487 0.7076
Li9 0.6339 0.6339 0.1265
Li10 0.7120 0.7120 0.5484
Li11 0.7501 0.7501 0.7499
Li12 0.7880 0.7880 0.9513
Li13 0.8656 0.8656 0.3736
Li14 0.9513 0.9513 0.7929
Mn1 0.0855 0.0855 0.4157
Mn2 0.1744 0.1744 0.8317
Mn3 0.3257 0.3257 0.6682
Mn4 0.4141 0.4141 0.0840
Mn5 0.5859 0.5859 0.9160
Mn6 0.6743 0.6743 0.3318
Mn7 0.8256 0.8256 0.1683
Mn8 0.9145 0.9145 0.5843
Co1 0.0000 0.0000 0.0000
Co2 0.5000 0.5000 0.5000
O1 0.0188 0.0188 0.5930
O2 0.0719 0.0719 0.8205
O3 0.1042 0.1042 0.0107
O4 0.1488 0.1488 0.2377
O5 0.1881 0.1881 0.4241
O6 0.2375 0.2375 0.6471
O7 0.2625 0.2625 0.8528
O8 0.3116 0.3116 0.0760
O9 0.3512 0.3512 0.2624
O10 0.3956 0.3956 0.4891
O11 0.4282 0.4282 0.6798
O12 0.4805 0.4805 0.9070
O13 0.5195 0.5195 0.0930
O14 0.5718 0.5718 0.3202
O15 0.6044 0.6044 0.5109
O16 0.6488 0.6488 0.7376
O17 0.6884 0.6884 0.9240
O18 0.7375 0.7375 0.1472
O19 0.7625 0.7625 0.3529
O20 0.8119 0.8119 0.5759
O21 0.8512 0.8512 0.7623
O22 0.8958 0.8958 0.9893
O23 0.9281 0.9281 0.1795
O24 0.9812 0.9812 0.4070



Record 5
Simulated powder X-ray diffraction pattern
Compound: Li7Mn2Co3O12
Radiation: copper Kα
Structure: a crystal structure in the Materials Project, relaxed with GGA+U

The 6 most intense peaks (15 to 90 degrees two-theta), by angle:
| two_theta | I (rel.) |
| --- | --- |
| 18.4 | 100 |
| 35.9 | 28 |
| 36.3 | 12 |
| 43.2 | 30 |
| 43.7 | 28 |
| 44.0 | 28 |

Atomic structure:
Cell: 2.9097 7.7587 9.7818 Å, 92.94 97.79 100.25°
Fractional positions:
Li1 0.0000 0.0000 0.0000
Li2 0.0822 0.4152 0.7457
Li3 0.2392 0.2411 0.2457
Li4 0.4108 0.0728 0.7559
Li5 0.5892 0.9272 0.2441
Li6 0.7608 0.7589 0.7543
Li7 0.9178 0.5848 0.2543
Mn1 0.3316 0.6760 0.9957
Mn2 0.6684 0.3240 0.0043
Co1 0.1673 0.8332 0.4982
Co2 0.5000 0.5000 0.5000
Co3 0.8327 0.1668 0.5018
O1 0.0738 0.2284 0.8906
O2 0.1361 0.6229 0.6134
O3 0.2025 0.0419 0.3844
O4 0.2754 0.4534 0.1066
O5 0.3647 0.8558 0.8820
O6 0.4625 0.2892 0.6175
O7 0.5375 0.7108 0.3825
O8 0.6353 0.1442 0.1180
O9 0.7246 0.5466 0.8934
O10 0.7975 0.9581 0.6156
O11 0.8639 0.3771 0.3866
O12 0.9262 0.7716 0.1094



Record 6
Simulated powder X-ray diffraction pattern
Compound: Li4MnCo2O7
Radiation: copper Kα
Structure: a crystal structure in the Materials Project, relaxed with GGA+U

The 6 most intense peaks (15 to 90 degrees two-theta), by angle:
| two_theta | I (rel.) |
| --- | --- |
| 18.4 | 100 |
| 33.9 | 21 |
| 40.6 | 37 |
| 44.6 | 27 |
| 45.1 | 25 |
| 62.1 | 16 |

Atomic structure:
Cell: 3.0256 8.0376 10.6897 Å, 78.47 86.75 89.10°
Fractional positions:
Li1 0.0000 0.0000 0.0000
Li2 0.0010 0.4998 0.0003
Li3 0.1417 0.5728 0.7152
Li4 0.2879 0.1434 0.4277
Li5 0.4308 0.7116 0.1393
Li6 0.5719 0.2904 0.8613
Li7 0.7139 0.8569 0.5716
Li8 0.8605 0.4262 0.2834
Mn1 0.1418 0.0698 0.7151
Mn2 0.2860 0.6438 0.4274
Co1 0.4338 0.2256 0.1364
Co2 0.5652 0.7729 0.8643
Co3 0.7155 0.3573 0.5715
Co4 0.8601 0.9323 0.2837
O1 0.0163 0.2461 0.0105
O2 0.1220 0.3157 0.7083
O3 0.1637 0.8270 0.7220
O4 0.2660 0.8884 0.4209
O5 0.3065 0.3983 0.4363
O6 0.4222 0.4393 0.1466
O7 0.4473 0.9827 0.1515
O8 0.5551 0.0174 0.8528
O9 0.5790 0.5594 0.8548
O10 0.6960 0.5973 0.5664
O11 0.7343 0.1176 0.5751
O12 0.8383 0.1693 0.2756
O13 0.8777 0.6901 0.2871
O14 0.9866 0.7532 0.9895



Record 7
Simulated powder X-ray diffraction pattern
Compound: Li2MnCo3O8
Radiation: copper Kα
Structure: a crystal structure in the Materials Project, relaxed with GGA+U

The 6 most intense peaks (15 to 90 degrees two-theta), by angle:
| two_theta | I (rel.) |
| --- | --- |
| 18.0 | 100 |
| 35.7 | 23 |
| 37.1 | 11 |
| 42.9 | 37 |
| 44.7 | 17 |
| 62.6 | 14 |

Atomic structure:
Cell: 5.9384 5.9929 8.1166 Å, 92.57 90.02 90.05°
Fractional positions:
Li1 0.0000 0.0000 0.0000
Li2 0.0012 0.5024 0.5011
Li3 0.5090 0.0002 0.0006
Li4 0.5110 0.5022 0.5011
Mn1 0.9997 0.0015 0.5005
Mn2 0.5125 0.5009 0.0006
Co1 0.0074 0.5005 0.0011
Co2 0.2548 0.2506 0.7507
Co3 0.2546 0.7522 0.2507
Co4 0.5040 0.0020 0.5003
Co5 0.7549 0.2509 0.7507
Co6 0.7550 0.7515 0.2507
O1 0.2388 0.2266 0.5110
O2 0.2388 0.7760 0.4882
O3 0.2715 0.2759 0.9901
O4 0.2713 0.7269 0.0135
O5 0.5206 0.4673 0.7624
O6 0.5223 0.0372 0.7359
O7 0.5223 0.5364 0.2397
O8 0.5236 0.9648 0.2652
O9 0.7427 0.2694 0.9836
O10 0.7432 0.7306 0.0164
O11 0.7674 0.7731 0.4853
O12 0.7680 0.2314 0.5179
O13 0.9874 0.4646 0.7654
O14 0.9865 0.5390 0.2368
O15 0.9882 0.9671 0.2611
O16 0.9897 0.0354 0.7390



Record 8
Simulated powder X-ray diffraction pattern
Compound: Li7Mn2Co3O12
Radiation: copper Kα
Structure: a crystal structure in the Materials Project, relaxed with GGA+U

The 6 most intense peaks (15 to 90 degrees two-theta), by angle:
| two_theta | I (rel.) |
| --- | --- |
| 18.0 | 100 |
| 34.3 | 20 |
| 36.4 | 23 |
| 41.1 | 35 |
| 44.1 | 55 |
| 62.0 | 17 |

Atomic structure:
Cell: 2.9990 2.9990 29.5709 Å, 92.51 92.51 56.98°
Fractional positions:
Li1 0.0000 0.0000 0.0000
Li2 0.0003 0.0003 0.2525
Li3 0.3378 0.3378 0.5827
Li4 0.3464 0.3464 0.0798
Li5 0.6569 0.6569 0.9193
Li6 0.6666 0.6666 0.4184
Li7 0.9985 0.9985 0.7526
Mn1 0.6672 0.6672 0.6676
Mn2 0.6715 0.6715 0.1688
Co1 0.0016 0.0016 0.5004
Co2 0.3322 0.3322 0.8333
Co3 0.3349 0.3349 0.3350
O1 0.0040 0.0040 0.3726
O2 0.0164 0.0164 0.1325
O3 0.0262 0.0262 0.6284
O4 0.3089 0.3089 0.7067
O5 0.3187 0.3187 0.2077
O6 0.3352 0.3352 0.9563
O7 0.3554 0.3554 0.4635
O8 0.6480 0.6480 0.5373
O9 0.6667 0.6667 0.2973
O10 0.6676 0.6676 0.0434
O11 0.6825 0.6825 0.7964
O12 0.9899 0.9899 0.8673



Record 9
Simulated powder X-ray diffraction pattern
Compound: Li7Mn4CoO12
Radiation: copper Kα
Structure: a crystal structure in the Materials Project, relaxed with GGA+U

The 6 most intense peaks (15 to 90 degrees two-theta), by angle:
| two_theta | I (rel.) |
| --- | --- |
| 18.4 | 100 |
| 34.5 | 16 |
| 36.3 | 23 |
| 41.8 | 32 |
| 44.1 | 56 |
| 62.7 | 16 |

Atomic structure:
Cell: 6.7807 6.7807 11.7385 Å, 101.85 101.85 24.48°
Fractional positions:
Li1 0.0000 0.0000 0.0000
Li2 0.0034 0.0034 0.2431
Li3 0.3369 0.3369 0.0815
Li4 0.3367 0.3367 0.5825
Li5 0.6633 0.6633 0.4175
Li6 0.6631 0.6631 0.9185
Li7 0.9966 0.9966 0.7569
Mn1 0.3320 0.3320 0.3320
Mn2 0.3447 0.3447 0.8388
Mn3 0.6553 0.6553 0.1612
Mn4 0.6680 0.6680 0.6680
Co1 0.0000 0.0000 0.5000
O1 0.1621 0.1621 0.2764
O2 0.1677 0.1677 0.0544
O3 0.1698 0.1698 0.5545
O4 0.1768 0.1768 0.7854
O5 0.4855 0.4855 0.8701
O6 0.4983 0.4983 0.6101
O7 0.5017 0.5017 0.3899
O8 0.5145 0.5145 0.1299
O9 0.8232 0.8232 0.2146
O10 0.8302 0.8302 0.4455
O11 0.8323 0.8323 0.9456
O12 0.8379 0.8379 0.7236



Number 1 is which compound? Li7Mn4CoO12



Copy entry 2 word for word.
Simulated powder X-ray diffraction pattern
Compound: Li4MnCo2O7
Radiation: copper Kα
Structure: a crystal structure in the Materials Project, relaxed with GGA+U

The 6 most intense peaks (15 to 90 degrees two-theta), by angle:
| two_theta | I (rel.) |
| --- | --- |
| 18.3 | 100 |
| 36.1 | 26 |
| 42.9 | 31 |
| 43.6 | 28 |
| 44.1 | 27 |
| 63.3 | 15 |

Atomic structure:
Cell: 2.9365 6.5160 13.6113 Å, 83.82 84.77 77.10°
Fractional positions:
Li1 0.0000 0.0000 0.0000
Li2 0.0000 0.5000 0.5000
Li3 0.1339 0.4298 0.2918
Li4 0.2889 0.8398 0.5726
Li5 0.4198 0.2879 0.8582
Li6 0.5802 0.7121 0.1418
Li7 0.7111 0.1602 0.4274
Li8 0.8661 0.5702 0.7082
Mn1 0.4287 0.7744 0.3610
Mn2 0.5713 0.2256 0.6390
Co1 0.1440 0.9211 0.7845
Co2 0.2858 0.3621 0.0719
Co3 0.7142 0.6379 0.9281
Co4 0.8560 0.0789 0.2155
O1 0.0208 0.2378 0.7386
O2 0.1349 0.1796 0.5490
O3 0.1527 0.6658 0.0343
O4 0.2694 0.6143 0.8270
O5 0.2821 0.0912 0.3163
O6 0.4359 0.0509 0.1115
O7 0.4382 0.5134 0.6114
O8 0.5618 0.4866 0.3886
O9 0.5641 0.9491 0.8885
O10 0.7179 0.9088 0.6837
O11 0.7306 0.3857 0.1730
O12 0.8473 0.3342 0.9657
O13 0.8651 0.8204 0.4510
O14 0.9792 0.7622 0.2614